[1]
Diffraction record for Hf3MnH6. The X-ray diffraction stick pattern is theoretical, not measured: it uses a DFT-relaxed cell (PBE, Alexandria) and Cu Kα (λ = 1.5418 Å).

Most intense lines, 2θ from 10° to 80°, by angle:
2θ 23.6, I = 14; 2θ 34.3, I = 14; 2θ 35.0, I = 26; 2θ 35.7, I = 100; 2θ 36.6, I = 26; 2θ 38.8, I = 8; 2θ 51.5, I = 18; 2θ 63.2, I = 15; 2θ 64.5, I = 9; 2θ 65.3, I = 17

Structure:
Cell lengths 6.2525, 6.2525, 4.9097 Å; angles 90.00, 90.00, 110.28 degrees
Element x y z (fractional)
Hf: 0.1211 0.8789 0.5000
Hf: 0.1653 0.3993 0.4980
Hf: 0.3993 0.1653 0.9980
Hf: 0.6007 0.8347 0.4980
Hf: 0.8347 0.6007 0.9980
Hf: 0.8789 0.1211 0.0000
Mn: 0.3314 0.6686 0.0286
Mn: 0.6686 0.3314 0.5286
H: 0.0992 0.6148 0.2296
H: 0.1402 0.1424 0.7499
H: 0.1424 0.1402 0.2499
H: 0.2958 0.7042 0.6898
H: 0.3852 0.9008 0.2296
H: 0.4683 0.5317 0.2229
H: 0.5317 0.4683 0.7229
H: 0.6148 0.0992 0.7296
H: 0.7042 0.2958 0.1898
H: 0.8576 0.8598 0.7499
H: 0.8598 0.8576 0.2499
H: 0.9008 0.3852 0.7296

---

[2]
Diffraction record for NbTeMoPdI. The X-ray diffraction stick pattern is theoretical, not measured: it uses a DFT-relaxed cell (PBE, Alexandria) and Cu Kα (λ = 1.5418 Å).

Most intense lines, 2θ from 10° to 80°, by angle:
2θ 18.9, I = 33; 2θ 29.0, I = 51; 2θ 34.7, I = 29; 2θ 34.8, I = 48; 2θ 35.5, I = 89; 2θ 36.3, I = 89; 2θ 42.1, I = 48; 2θ 42.2, I = 100; 2θ 42.4, I = 52; 2θ 51.7, I = 60

Structure:
Cell lengths 3.5358, 3.5388, 9.7212 Å; angles 100.35, 99.81, 91.16 degrees
Element x y z (fractional)
Nb: 0.0000 0.0000 0.0000
Te: 0.8284 0.8682 0.6883
Mo: 0.3746 0.4754 0.8421
Pd: 0.5582 0.5774 0.1376
I: 0.1545 0.1453 0.3058

---

[3]
Diffraction record for BaPuRh2O8. The X-ray diffraction stick pattern is theoretical, not measured: it uses a DFT-relaxed cell (PBE, Alexandria) and Cu Kα (λ = 1.5418 Å).

Most intense lines, 2θ from 10° to 80°, by angle:
2θ 17.8, I = 59; 2θ 21.3, I = 70; 2θ 29.6, I = 100; 2θ 31.1, I = 75; 2θ 43.4, I = 43; 2θ 49.9, I = 14; 2θ 54.4, I = 40; 2θ 55.3, I = 17; 2θ 58.2, I = 28; 2θ 72.8, I = 16

Structure:
Cell lengths 5.7545, 5.7545, 7.5904 Å; angles 90.00, 90.00, 120.00 degrees
Element x y z (fractional)
Ba: 0.0000 0.0000 0.0000
Pu: 0.0000 0.0000 0.5000
Rh: 0.3333 0.6667 0.7604
Rh: 0.6667 0.3333 0.2396
O: 0.0857 0.3139 0.6798
O: 0.2281 0.9143 0.6798
O: 0.3139 0.2281 0.3202
O: 0.3333 0.6667 0.9978
O: 0.6667 0.3333 0.0022
O: 0.6861 0.7719 0.6798
O: 0.7719 0.0857 0.3202
O: 0.9143 0.6861 0.3202

---

[4]
Diffraction record for Pu2Fe3Os. The X-ray diffraction stick pattern is theoretical, not measured: it uses a DFT-relaxed cell (PBE, Alexandria) and Cu Kα (λ = 1.5418 Å).

Most intense lines, 2θ from 10° to 80°, by angle:
2θ 20.1, I = 42; 2θ 34.1, I = 25; 2θ 35.9, I = 100; 2θ 39.9, I = 73; 2θ 41.4, I = 41; 2θ 41.5, I = 82; 2θ 42.3, I = 19; 2θ 64.5, I = 19; 2θ 67.2, I = 21; 2θ 68.4, I = 24

Structure:
Cell lengths 5.0053, 5.0053, 5.2888 Å; angles 118.45, 118.45, 59.91 degrees
Element x y z (fractional)
Pu: 0.1239 0.1239 0.3719
Pu: 0.8761 0.8761 0.6281
Fe: 0.0000 0.5000 0.0000
Fe: 0.5000 0.0000 0.0000
Fe: 0.5000 0.5000 0.0000
Os: 0.5000 0.5000 0.5000